Simulated X-ray diffraction stick pattern
Compound: LiMnAlO4
Radiation: copper Kα
Structure: a crystal structure in the Materials Project, relaxed with PBE+U
No peak broadening, texture or thermal motion is included.

Cell and atoms:
```
data_LiMnAlO4
_symmetry_space_group_name_H-M 'P n m a'
_symmetry_Int_Tables_number 62
_cell_length_a 9.3544
_cell_length_b 2.8713
_cell_length_c 10.0869
_cell_angle_alpha 90.00
_cell_angle_beta 90.00
_cell_angle_gamma 90.00
loop_
_symmetry_equiv_pos_as_xyz
'x,y,z'
'-x,-y,-z'
'-x+1/2,-y,z+1/2'
'x+1/2,y,-z+1/2'
'x+1/2,-y+1/2,-z+1/2'
'-x+1/2,y+1/2,z+1/2'
'-x,y+1/2,-z'
'x,-y+1/2,z'
loop_
_atom_site_label
_atom_site_fract_x
_atom_site_fract_y
_atom_site_fract_z
Li1 0.0744 0.2500 0.1231
Mn1 0.2271 0.7500 0.8477
Al1 0.0033 0.2500 0.6264
O1 0.0850 0.7500 0.7144
O2 0.1035 0.2500 0.4627
O3 0.1314 0.2500 0.9357
O4 0.1633 0.7500 0.2579
```

Principal peaks in the range 2θ from 10° to 90°, most intense first:
| two_theta | Rel. int. | (hkl) |
| --- | --- | --- |
| 20.00 | 1000 | 1 0 2 |
| 41.00 | 250 | 2 1 2 |
| 33.81 | 247 | 3 0 2 |
| 12.91 | 243 | 1 0 1 |
| 37.83 | 192 | 2 1 1 |
| 51.07 | 179 | 3 1 3 |
| 59.37 | 173 | 2 1 5 |
| 42.53 | 139 | 1 1 3 |
| 30.00 | 129 | 3 0 1 |
| 62.00 | 119 | 5 1 2 |

=====

Simulated X-ray diffraction stick pattern
Compound: Li8Mn5Fe3B8O24
Radiation: copper Kα
Structure: a crystal structure in the Materials Project, relaxed with PBE+U
No peak broadening, texture or thermal motion is included.

Cell and atoms:
```
data_Li8Mn5Fe3B8O24
_symmetry_space_group_name_H-M 'P 1'
_symmetry_Int_Tables_number 1
_cell_length_a 5.2360
_cell_length_b 5.2489
_cell_length_c 20.9493
_cell_angle_alpha 90.71
_cell_angle_beta 90.93
_cell_angle_gamma 119.90
loop_
_symmetry_equiv_pos_as_xyz
'x,y,z'
loop_
_atom_site_label
_atom_site_fract_x
_atom_site_fract_y
_atom_site_fract_z
Li1 0.0000 0.0000 0.0000
Li2 0.0006 0.0018 0.5000
Li3 0.0095 0.9909 0.7498
Li4 0.0141 0.9915 0.2494
Li5 0.3145 0.3327 0.6254
Li6 0.3156 0.3313 0.1251
Li7 0.3402 0.3058 0.8756
Li8 0.3414 0.3045 0.3747
Mn1 0.3337 0.6567 0.4827
Mn2 0.3349 0.6603 0.9833
Mn3 0.6661 0.3219 0.7340
Mn4 0.6658 0.9793 0.3573
Mn5 0.9857 0.6567 0.6081
Fe1 0.6657 0.3212 0.2322
Fe2 0.6688 0.9730 0.8578
Fe3 0.9786 0.6518 0.1085
B1 0.0021 0.6505 0.8546
B2 0.0030 0.6501 0.3532
B3 0.3292 0.6580 0.7300
B4 0.3305 0.6619 0.2282
B5 0.6597 0.9913 0.1050
B6 0.6608 0.9953 0.6043
B7 0.6670 0.3196 0.4792
B8 0.6681 0.3212 0.9792
O1 0.0222 0.9239 0.8478
O2 0.0318 0.9256 0.3464
O3 0.0812 0.6849 0.2142
O4 0.0849 0.6902 0.7147
O5 0.2412 0.6208 0.3742
O6 0.2481 0.6319 0.8734
O7 0.3051 0.3840 0.7224
O8 0.3186 0.3936 0.2221
O9 0.3938 0.2952 0.4717
O10 0.3938 0.2970 0.9721
O11 0.4043 0.7263 0.0908
O12 0.4097 0.7243 0.5892
O13 0.5924 0.8997 0.7510
O14 0.5946 0.9115 0.2481
O15 0.6298 0.2325 0.6252
O16 0.6417 0.2382 0.1239
O17 0.7007 0.0767 0.4637
O18 0.7005 0.0776 0.9637
O19 0.7319 0.4004 0.3380
O20 0.7332 0.3956 0.8407
O21 0.9105 0.5837 0.0006
O22 0.9101 0.5836 0.5004
O23 0.9336 0.0119 0.0984
O24 0.9357 0.0248 0.5971
```

Principal peaks in the range 2θ from 10° to 90°, most intense first:
| two_theta | Rel. int. | (hkl) |
| --- | --- | --- |
| 34.23 | 1000 | 0 0 8 |
| 19.55 | 356 | 1 -1 0 |
| 21.51 | 326 | 0 1 2 |
| 25.64 | 242 | 1 0 -4 |
| 21.34 | 203 | -1 1 2 |
| 26.29 | 158 | 1 0 4 |
| 48.30 | 153 | 1 0 10 |
| 40.46 | 124 | 2 0 -2 |
| 40.69 | 123 | -2 2 2 |
| 40.38 | 119 | 0 2 -2 |

=====

Simulated X-ray diffraction stick pattern
Compound: MgFe6O10F2
Radiation: copper Kα
Structure: a crystal structure in the Materials Project, relaxed with PBE+U
No peak broadening, texture or thermal motion is included.

Cell and atoms:
```
data_MgFe6O10F2
_symmetry_space_group_name_H-M 'P 1 m 1'
_symmetry_Int_Tables_number 6
_cell_length_a 6.3944
_cell_length_b 3.0225
_cell_length_c 11.7702
_cell_angle_alpha 90.00
_cell_angle_beta 104.63
_cell_angle_gamma 90.00
loop_
_symmetry_equiv_pos_as_xyz
'x,y,z'
'x,-y,z'
loop_
_atom_site_label
_atom_site_fract_x
_atom_site_fract_y
_atom_site_fract_z
Mg1 0.0000 0.0000 0.0000
Fe1 0.0063 0.5000 0.5183
Fe2 0.1361 0.0000 0.8019
Fe3 0.3770 0.5000 0.2180
Fe4 0.4945 0.0000 0.4947
Fe5 0.6273 0.5000 0.8077
Fe6 0.8756 0.0000 0.2405
O1 0.0857 0.5000 0.6935
O2 0.1400 0.0000 0.1734
O3 0.1619 0.5000 0.9243
O4 0.2023 0.0000 0.5162
O5 0.4413 0.5000 0.3880
O6 0.4472 0.0000 0.8179
O7 0.5605 0.0000 0.1904
O8 0.8061 0.0000 0.5126
O9 0.8266 0.0000 0.8204
O10 0.9309 0.5000 0.3367
F1 0.5574 0.5000 0.6276
F2 0.8007 0.5000 0.0164
```

Principal peaks in the range 2θ from 10° to 90°, most intense first:
| two_theta | Rel. int. | (hkl) |
| --- | --- | --- |
| 27.91 | 1000 | 2 0 -1 |
| 23.43 | 927 | 0 0 3 |
| 34.80 | 716 | 1 1 1 |
| 34.99 | 579 | 1 1 -2 |
| 54.22 | 449 | 3 1 -3 |
| 31.42 | 410 | 0 0 4 |
| 55.45 | 292 | 1 1 5 |
| 61.34 | 238 | 0 2 0 |
| 38.55 | 217 | 1 1 -3 |
| 41.10 | 209 | 2 1 -1 |

=====

Simulated X-ray diffraction stick pattern
Compound: NaLaDyFeO6
Radiation: copper Kα
Structure: a crystal structure in the Materials Project, relaxed with PBE+U
No peak broadening, texture or thermal motion is included.

Cell and atoms:
```
data_NaLaDyFeO6
_symmetry_space_group_name_H-M 'F -4 3 m'
_symmetry_Int_Tables_number 216
_symmetry_space_group_name_Hall 'F -4 2 3'
_cell_length_a 8.0537
_cell_length_b 8.0537
_cell_length_c 8.0537
_cell_angle_alpha 90.00
_cell_angle_beta 90.00
_cell_angle_gamma 90.00
loop_
_atom_site_label
_atom_site_fract_x
_atom_site_fract_y
_atom_site_fract_z
Na1 0.0000 0.0000 0.0000
La1 0.0000 0.0000 0.5000
Dy1 0.2500 0.2500 0.2500
Fe1 0.2500 0.2500 0.7500
O1 0.0189 0.2500 0.7500
```

Principal peaks in the range 2θ from 10° to 90°, most intense first:
| two_theta | Rel. int. | (hkl) |
| --- | --- | --- |
| 31.42 | 1000 | 2 2 0 |
| 55.93 | 388 | 4 2 2 |
| 19.09 | 373 | 1 1 1 |
| 45.03 | 333 | 4 0 0 |
| 37.02 | 249 | 3 1 1 |
| 65.57 | 196 | 4 4 0 |
| 74.52 | 173 | 6 2 0 |
| 49.32 | 127 | 3 3 1 |
| 22.07 | 92 | 2 0 0 |
| 59.66 | 79 | 3 3 3 |